1.
Structure and simulated PXRD pattern of Hg2Mo2O7 (a DFT-relaxed cell (GGA+U, Alexandria); Cu Kα, 1.54184 Å).

Top 10 peaks for 5° ≤ 2θ ≤ 70°, in order of rising 2θ:
hkl 1 0 -2, 2θ 16.6, intensity 84
hkl 1 0 -4, 2θ 25.3, intensity 100
hkl 0 1 2, 2θ 25.5, intensity 58
hkl 1 1 -2, 2θ 27.9, intensity 55
hkl 1 1 1, 2θ 28.4, intensity 67
hkl 0 1 3, 2θ 29.1, intensity 59
hkl 2 0 -2, 2θ 29.2, intensity 40
hkl 1 0 4, 2θ 32.1, intensity 44
hkl 2 1 -1, 2θ 36.7, intensity 30
hkl 1 1 -5, 2θ 38.3, intensity 38

Structural model:
```
data_Hg2Mo2O7
_chemical_formula_sum 'Hg4 Mo4 O14'
_symmetry_space_group_name_H-M 'P 1 2/c 1'
_symmetry_Int_Tables_number 13
_cell_length_a 6.202
_cell_length_b 3.996
_cell_length_c 14.919
_cell_angle_alpha 90.00
_cell_angle_beta 105.00
_cell_angle_gamma 90.00
loop_
_symmetry_equiv_pos_as_xyz
'x,y,z'
'-x,-y,-z'
'-x,y,-z+1/2'
'x,-y,z+1/2'
loop_
_atom_site_label
_atom_site_type_symbol
_atom_site_fract_x
_atom_site_fract_y
_atom_site_fract_z
Hg1 Hg 0.147 0.161 0.063
Mo1 Mo 0.310 0.492 0.813
O1 O 0.000 0.440 0.250
O2 O 0.296 0.456 0.428
O3 O 0.310 0.048 0.802
O4 O 0.367 0.449 0.169
```



2.
Structure and simulated PXRD pattern of Hg4Mo2O9 (a DFT-relaxed cell (GGA+U, Alexandria); Cu Kα, 1.54184 Å).

Top 10 peaks for 5° ≤ 2θ ≤ 70°, in order of rising 2θ:
hkl 1 0 -1, 2θ 17.5, intensity 43
hkl 1 0 1, 2θ 18.3, intensity 29
hkl 0 0 4, 2θ 19.9, intensity 36
hkl 1 0 3, 2θ 23.8, intensity 100
hkl 1 1 -4, 2θ 27.6, intensity 52
hkl 0 1 5, 2θ 27.8, intensity 46
hkl 1 2 1, 2θ 29.6, intensity 29
hkl 1 2 0, 2θ 29.9, intensity 31
hkl -1 1 2, 2θ 30.1, intensity 83
hkl 2 1 -1, 2θ 30.5, intensity 46

Structural model:
```
data_Hg4Mo2O9
_chemical_formula_sum 'Hg8 Mo4 O18'
_symmetry_space_group_name_H-M 'P -1'
_symmetry_Int_Tables_number 2
_cell_length_a 5.937
_cell_length_b 6.041
_cell_length_c 18.129
_cell_angle_alpha 81.21
_cell_angle_beta 89.94
_cell_angle_gamma 60.65
loop_
_symmetry_equiv_pos_as_xyz
'x,y,z'
'-x,-y,-z'
loop_
_atom_site_label
_atom_site_type_symbol
_atom_site_fract_x
_atom_site_fract_y
_atom_site_fract_z
Hg1 Hg 0.029 0.176 0.458
Hg2 Hg 0.123 0.627 0.763
Hg3 Hg 0.380 0.010 0.741
Hg4 Hg 0.468 0.175 0.038
Mo1 Mo 0.190 0.698 0.153
Mo2 Mo 0.308 0.543 0.343
O1 O 0.021 0.797 0.257
O2 O 0.076 0.486 0.398
O3 O 0.106 0.288 0.873
O4 O 0.144 0.003 0.115
O5 O 0.253 0.304 0.248
O6 O 0.346 0.770 0.383
O7 O 0.390 0.748 0.632
O8 O 0.427 0.475 0.097
O9 O 0.476 0.591 0.240
```